# 1
Pm6PrY2Er: theoretical XRD peak list (λ = 1.5418 Å (Cu Kα)), based on a DFT-relaxed cell (GGA-PBE, Alexandria).
Intensities are scaled so that the largest is 100.

Structure:
Cell lengths 8.9562, 8.9562, 9.6681 Å; angles 93.75, 93.75, 117.32 degrees
Fractional positions:
Pm1 0.0179 0.5669 0.1843
Pm2 0.1125 0.7605 0.5564
Pm3 0.2395 0.8875 0.9436
Pm4 0.2938 0.5127 0.3811
Pm5 0.4331 0.9821 0.3157
Pm6 0.4873 0.7062 0.1189
Pm7 0.5127 0.2938 0.8811
Pm8 0.5669 0.0179 0.6843
Pm9 0.7062 0.4873 0.6189
Pm10 0.7605 0.1125 0.0564
Pm11 0.8875 0.2395 0.4436
Pm12 0.9821 0.4331 0.8157
Pr1 0.4065 0.5935 0.7500
Pr2 0.5935 0.4065 0.2500
Y1 0.1962 0.2922 0.0468
Y2 0.2922 0.1962 0.5468
Y3 0.7078 0.8038 0.4532
Y4 0.8038 0.7078 0.9532
Er1 0.0313 0.9687 0.2500
Er2 0.9687 0.0313 0.7500

The 6 most intense peaks (5° ≤ 2θ ≤ 70°), sorted by position:
- 28.12 deg, I 43
- 29.90 deg, I 61
- 30.31 deg, I 61
- 30.80 deg, I 100
- 31.03 deg, I 38
- 33.47 deg, I 33

# 2
AuSO4F2: theoretical XRD peak list (λ = 1.5418 Å (Cu Kα)), based on a DFT-relaxed cell (GGA-PBE, Alexandria).
Intensities are scaled so that the largest is 100.

Structure:
Cell lengths 6.0732, 6.0732, 5.3733 Å; angles 90.37, 90.37, 96.28 degrees
Fractional positions:
Au1 0.0000 0.0000 0.0000
Au2 0.0000 0.0000 0.5000
S1 0.0000 0.5000 0.0000
S2 0.5000 0.0000 0.5000
O1 0.1613 0.7190 0.0003
O2 0.2078 0.3590 0.0003
O3 0.2810 0.8387 0.4997
O4 0.3590 0.2078 0.5003
O5 0.6410 0.7922 0.4997
O6 0.7190 0.1613 0.5003
O7 0.7922 0.6410 0.9997
O8 0.8387 0.2810 0.9997
F1 0.0000 0.5000 0.5000
F2 0.5000 0.0000 0.0000
F3 0.5000 0.5000 0.0000
F4 0.5000 0.5000 0.5000

The 6 most intense peaks (5° ≤ 2θ ≤ 70°), sorted by position:
- 14.67 deg, I 100
- 19.63 deg, I 19
- 29.60 deg, I 34
- 33.35 deg, I 27
- 34.65 deg, I 17
- 45.03 deg, I 17

# 3
CdAg2F8: theoretical XRD peak list (λ = 1.5418 Å (Cu Kα)), based on a DFT-relaxed cell (GGA-PBE, Alexandria).
Intensities are scaled so that the largest is 100.

Structure:
Cell lengths 6.3960, 6.3960, 9.4518 Å; angles 100.91, 100.91, 73.07 degrees
Fractional positions:
Cd1 0.2493 0.7507 0.7500
Cd2 0.7507 0.2493 0.2500
Ag1 0.2428 0.2533 0.0409
Ag2 0.2533 0.2428 0.5409
Ag3 0.7467 0.7572 0.4591
Ag4 0.7572 0.7467 0.9591
F1 0.0634 0.6632 0.9156
F2 0.1216 0.1334 0.3450
F3 0.1334 0.1216 0.8450
F4 0.1976 0.5500 0.5065
F5 0.3368 0.9366 0.5844
F6 0.3604 0.3688 0.2367
F7 0.3688 0.3604 0.7367
F8 0.4500 0.8024 0.9935
F9 0.5500 0.1976 0.0065
F10 0.6312 0.6396 0.2633
F11 0.6396 0.6312 0.7633
F12 0.6632 0.0634 0.4156
F13 0.8024 0.4500 0.4935
F14 0.8666 0.8784 0.1550
F15 0.8784 0.8666 0.6550
F16 0.9366 0.3368 0.0844

The 6 most intense peaks (5° ≤ 2θ ≤ 70°), sorted by position:
- 16.34 deg, I 55
- 18.67 deg, I 48
- 23.01 deg, I 82
- 29.36 deg, I 39
- 29.50 deg, I 100
- 43.95 deg, I 49

# 4
Pa3P2Se: theoretical XRD peak list (λ = 1.5418 Å (Cu Kα)), based on a DFT-relaxed cell (GGA-PBE, Alexandria).
Intensities are scaled so that the largest is 100.

Structure:
Cell lengths 3.8784, 3.8784, 21.0191 Å; angles 90.00, 90.00, 120.00 degrees
Fractional positions:
Pa1 0.0000 0.0000 0.0000
Pa2 0.0000 0.0000 0.5000
Pa3 0.3333 0.6667 0.1567
Pa4 0.3333 0.6667 0.3433
Pa5 0.6667 0.3333 0.6567
Pa6 0.6667 0.3333 0.8433
P1 0.3333 0.6667 0.5795
P2 0.3333 0.6667 0.9205
P3 0.6667 0.3333 0.0795
P4 0.6667 0.3333 0.4205
Se1 0.0000 0.0000 0.2500
Se2 0.0000 0.0000 0.7500

The 6 most intense peaks (5° ≤ 2θ ≤ 70°), sorted by position:
- 25.43 deg, I 32
- 26.88 deg, I 59
- 27.89 deg, I 28
- 31.62 deg, I 100
- 34.17 deg, I 66
- 46.85 deg, I 50

# 5
La3PuP4: theoretical XRD peak list (λ = 1.5418 Å (Cu Kα)), based on a DFT-relaxed cell (GGA-PBE, Alexandria).
Intensities are scaled so that the largest is 100.

Structure:
Cell lengths 7.2801, 8.4176, 7.2843 Å; angles 90.00, 109.54, 90.00 degrees
Fractional positions:
La1 0.0000 0.1245 0.2500
La2 0.0000 0.3738 0.7500
La3 0.0000 0.6262 0.2500
La4 0.0000 0.8755 0.7500
La5 0.5000 0.3743 0.2500
La6 0.5000 0.6257 0.7500
Pu1 0.5000 0.1238 0.7500
Pu2 0.5000 0.8762 0.2500
P1 0.2547 0.3679 0.5079
P2 0.2547 0.6321 0.0079
P3 0.2659 0.1167 0.9980
P4 0.2659 0.8833 0.4980
P5 0.7341 0.1167 0.5020
P6 0.7341 0.8833 0.0020
P7 0.7453 0.3679 0.9921
P8 0.7453 0.6321 0.4921

The 6 most intense peaks (5° ≤ 2θ ≤ 70°), sorted by position:
- 25.95 deg, I 87
- 30.05 deg, I 100
- 43.02 deg, I 74
- 50.93 deg, I 44
- 53.36 deg, I 26
- 68.78 deg, I 12

# 6
CaGaGe2S6: theoretical XRD peak list (λ = 1.5418 Å (Cu Kα)), based on a DFT-relaxed cell (GGA-PBE, Alexandria).
Intensities are scaled so that the largest is 100.

Structure:
Cell lengths 8.7602, 8.7602, 7.2786 Å; angles 107.07, 107.07, 85.99 degrees
Fractional positions:
Ca1 0.1268 0.8732 0.7500
Ca2 0.8732 0.1268 0.2500
Ga1 0.1961 0.8039 0.2500
Ga2 0.8039 0.1961 0.7500
Ge1 0.2402 0.3835 0.8106
Ge2 0.3835 0.2402 0.3106
Ge3 0.6165 0.7598 0.6894
Ge4 0.7598 0.6165 0.1894
S1 0.0439 0.1814 0.6598
S2 0.1291 0.6268 0.9346
S3 0.1814 0.0439 0.1598
S4 0.2959 0.4337 0.5367
S5 0.3732 0.8709 0.5654
S6 0.4337 0.2959 0.0367
S7 0.5663 0.7041 0.9633
S8 0.6268 0.1291 0.4346
S9 0.7041 0.5663 0.4633
S10 0.8186 0.9561 0.8402
S11 0.8709 0.3732 0.0654
S12 0.9561 0.8186 0.3402

The 6 most intense peaks (5° ≤ 2θ ≤ 70°), sorted by position:
- 19.96 deg, I 100
- 21.22 deg, I 47
- 22.50 deg, I 34
- 23.93 deg, I 88
- 31.52 deg, I 41
- 48.33 deg, I 37

# 7
Sc3CuIr2: theoretical XRD peak list (λ = 1.5418 Å (Cu Kα)), based on a DFT-relaxed cell (GGA-PBE, Alexandria).
Intensities are scaled so that the largest is 100.

Structure:
Cell lengths 4.6448, 13.9402, 3.1559 Å; angles 90.00, 90.00, 90.00 degrees
Fractional positions:
Sc1 0.2500 0.0815 0.0006
Sc2 0.2500 0.4185 0.0006
Sc3 0.2500 0.7500 0.9988
Sc4 0.7500 0.2500 0.0012
Sc5 0.7500 0.5815 0.9994
Sc6 0.7500 0.9185 0.9994
Cu1 0.2500 0.2500 0.5011
Cu2 0.7500 0.7500 0.4989
Ir1 0.2500 0.5844 0.4995
Ir2 0.2500 0.9156 0.4995
Ir3 0.7500 0.0844 0.5005
Ir4 0.7500 0.4156 0.5005

The 6 most intense peaks (5° ≤ 2θ ≤ 70°), sorted by position:
- 27.15 deg, I 39
- 28.28 deg, I 17
- 38.77 deg, I 53
- 39.60 deg, I 100
- 48.67 deg, I 17
- 55.98 deg, I 18

# 8
Cs2ErNp2S6: theoretical XRD peak list (λ = 1.5418 Å (Cu Kα)), based on a DFT-relaxed cell (GGA-PBE, Alexandria).
Intensities are scaled so that the largest is 100.

Structure:
Cell lengths 6.9940, 6.9940, 8.5485 Å; angles 97.71, 97.71, 120.01 degrees
Fractional positions:
Cs1 0.1657 0.8343 0.0000
Cs2 0.8343 0.1657 0.0000
Er1 0.0000 0.0000 0.5000
Np1 0.3339 0.6661 0.5000
Np2 0.6661 0.3339 0.5000
S1 0.0563 0.3920 0.6748
S2 0.2755 0.2755 0.3250
S3 0.3920 0.0563 0.6748
S4 0.6080 0.9437 0.3252
S5 0.7245 0.7245 0.6750
S6 0.9437 0.6080 0.3252

The 6 most intense peaks (5° ≤ 2θ ≤ 70°), sorted by position:
- 10.74 deg, I 96
- 21.58 deg, I 55
- 26.49 deg, I 83
- 29.32 deg, I 100
- 29.41 deg, I 51
- 44.89 deg, I 72